# 1
BaFeF5: computed XRD peak list (λ = 1.5418 Å (Cu Kα)), based on a crystal structure in the Materials Project, relaxed with PBE+U.

The 8 most intense peaks (5° ≤ 2θ ≤ 70°), low angle first:
| 2θ (°) | d (Å) | I (rel.) |
| --- | --- | --- |
| 22.9 | 3.891 | 50 |
| 23.3 | 3.810 | 31 |
| 24.0 | 3.714 | 37 |
| 26.1 | 3.408 | 42 |
| 26.7 | 3.339 | 100 |
| 28.3 | 3.154 | 22 |
| 41.4 | 2.181 | 29 |
| 42.6 | 2.124 | 42 |

```
BaFeF5
1.0
-7.621 7.621 3.891
7.621 -7.621 3.891
7.621 7.621 -3.891
Ba Fe F
8 8 40
Cartesian
11.880 0.797 0.000
0.797 3.361 0.000
8.657 3.866 0.014
3.866 6.584 0.014
3.754 1.036 3.905
-1.036 3.754 3.905
6.824 4.259 3.891
-4.259 6.824 3.891
7.621 0.000 0.052
5.079 2.788 0.004
0.000 0.000 1.998
4.833 -2.542 3.895
0.000 7.621 0.052
2.788 10.162 0.004
0.000 0.000 5.858
2.542 4.833 3.895
0.000 0.000 0.038
10.856 -1.551 1.340
9.287 1.020 0.037
6.033 3.857 -1.340
6.114 -3.213 2.585
6.822 1.777 0.060
8.291 5.802 -1.985
5.802 6.950 -1.985
3.763 -1.587 2.550
11.332 3.496 -0.020
3.496 3.909 -0.020
7.621 0.000 1.997
4.386 1.551 1.340
1.819 0.671 1.905
-0.671 1.819 1.905
1.020 5.954 0.037
6.015 3.932 1.305
3.857 9.208 -1.340
5.844 -0.798 3.950
-1.551 4.386 1.340
0.000 0.000 3.929
9.127 3.213 2.585
1.777 8.419 0.060
3.689 -1.605 5.196
1.587 3.763 2.550
6.601 1.667 3.928
8.334 5.817 2.065
5.817 6.907 2.065
3.213 6.114 2.585
4.125 3.711 3.871
0.000 7.621 1.997
-3.711 4.125 3.871
3.932 9.226 1.305
1.803 0.713 5.956
-0.713 1.803 5.956
1.551 10.856 1.340
0.798 5.844 3.950
1.605 3.689 5.196
-3.213 9.127 2.585
-1.667 6.601 3.928
```

***

# 2
BaFeF5: computed XRD peak list (λ = 1.5418 Å (Cu Kα)), based on a crystal structure in the Materials Project, relaxed with PBE+U.

The 8 most intense peaks (5° ≤ 2θ ≤ 70°), low angle first:
| 2θ (°) | d (Å) | I (rel.) |
| --- | --- | --- |
| 22.1 | 4.016 | 100 |
| 23.2 | 3.832 | 64 |
| 26.8 | 3.330 | 29 |
| 27.2 | 3.281 | 40 |
| 27.8 | 3.208 | 48 |
| 31.3 | 2.855 | 37 |
| 39.5 | 2.282 | 50 |
| 41.1 | 2.197 | 27 |

```
BaFeF5
1.0
9.693 0.000 0.000
0.000 8.032 0.000
-8.939 0.000 11.547
Ba Fe F
8 8 40
Cartesian
-1.542 1.733 4.107
-6.012 2.283 9.881
-2.221 5.768 6.292
2.248 6.279 0.518
-1.495 1.753 11.029
2.975 2.263 5.255
6.765 5.749 1.666
2.296 6.299 7.440
-3.100 1.675 7.621
1.369 2.341 1.847
0.172 5.574 3.643
-4.297 6.473 9.417
5.051 1.559 2.130
0.581 2.457 7.904
-0.616 5.691 9.700
3.854 6.357 3.927
-4.996 1.751 7.309
-0.526 2.265 1.535
-0.182 5.857 1.763
-4.651 6.191 7.537
-1.477 4.491 3.850
-5.946 7.557 9.624
-5.482 4.956 9.796
-1.013 7.092 4.022
-2.614 0.395 6.260
1.855 3.621 0.487
1.770 0.913 0.611
-2.699 3.103 6.385
-3.358 0.155 8.996
1.111 3.861 3.222
1.107 1.266 3.433
-3.362 2.749 9.207
-2.558 5.586 9.079
1.911 6.461 3.306
0.497 5.523 5.542
-3.973 6.525 11.316
4.726 1.507 0.232
0.257 2.509 6.006
-1.158 1.570 8.242
3.312 2.445 2.468
4.116 5.282 2.340
-0.354 6.765 8.114
-0.358 4.171 8.325
4.112 7.877 2.552
3.453 4.929 5.163
-1.017 7.119 10.937
-1.102 4.410 11.061
3.368 7.637 5.287
1.766 0.940 7.525
6.236 3.076 1.751
6.700 0.475 1.923
2.230 3.541 7.697
5.405 1.841 4.011
0.935 2.175 9.785
1.280 5.766 10.012
5.750 6.281 4.239
```

***

# 3
Ba2Fe3F10: computed XRD peak list (λ = 1.5418 Å (Cu Kα)), based on a crystal structure in the Materials Project, relaxed with PBE+U.

The 8 most intense peaks (5° ≤ 2θ ≤ 70°), low angle first:
| 2θ (°) | d (Å) | I (rel.) |
| --- | --- | --- |
| 26.5 | 3.367 | 100 |
| 27.0 | 3.304 | 69 |
| 28.3 | 3.158 | 22 |
| 28.4 | 3.145 | 48 |
| 37.2 | 2.420 | 33 |
| 40.5 | 2.228 | 49 |
| 48.9 | 1.861 | 21 |
| 50.4 | 1.811 | 15 |

```
Ba2Fe3F10
1.0
8.091 0.000 0.000
0.000 6.316 0.000
-6.892 0.000 17.570
Ba Fe F
8 12 40
Cartesian
-0.439 0.035 5.007
-3.885 3.123 13.792
-2.467 0.086 10.776
0.979 3.072 1.991
0.220 3.244 15.579
3.666 6.230 6.794
5.084 3.192 3.778
1.638 6.281 12.563
-6.018 0.023 16.211
-2.572 3.135 7.426
-1.739 0.026 14.440
1.707 3.132 5.655
-2.895 4.697 17.556
0.551 4.776 8.771
0.647 1.540 8.799
4.094 1.618 0.014
-0.508 3.184 11.915
2.938 6.290 3.130
3.771 3.181 10.144
7.217 6.293 1.359
-4.490 4.722 11.574
-1.044 4.752 2.789
-3.382 4.552 8.905
0.065 4.921 0.120
-2.060 4.600 6.152
-5.506 4.874 14.937
-3.390 0.452 13.394
0.056 2.706 4.609
1.055 0.335 2.425
-2.391 2.823 11.210
-0.819 0.043 8.494
-4.265 3.115 17.279
-4.160 0.044 17.148
-0.714 3.114 8.363
1.937 4.737 4.242
-1.509 4.737 13.027
-2.333 4.664 15.585
1.114 4.810 6.800
1.272 1.432 6.845
-2.174 1.726 15.630
3.373 4.590 1.940
-0.073 4.884 10.725
0.085 1.506 10.770
3.532 1.652 1.985
2.708 1.579 4.543
-0.738 1.579 13.328
1.913 3.202 9.207
5.359 6.272 0.422
5.464 3.201 0.291
2.018 6.273 9.076
3.590 3.493 6.360
0.144 5.981 15.145
1.142 3.610 12.961
4.589 5.864 4.176
6.705 1.442 2.633
3.259 1.716 11.418
1.134 1.394 17.451
4.581 1.764 8.666
2.242 1.564 14.781
5.689 1.594 5.996
```

***

# 4
BaFe2F7: computed XRD peak list (λ = 1.5418 Å (Cu Kα)), based on a crystal structure in the Materials Project, relaxed with PBE+U.

The 8 most intense peaks (5° ≤ 2θ ≤ 70°), low angle first:
| 2θ (°) | d (Å) | I (rel.) |
| --- | --- | --- |
| 24.1 | 3.690 | 85 |
| 25.1 | 3.549 | 100 |
| 25.4 | 3.501 | 59 |
| 25.9 | 3.441 | 55 |
| 27.3 | 3.268 | 44 |
| 32.2 | 2.784 | 46 |
| 39.1 | 2.303 | 45 |
| 46.1 | 1.967 | 38 |

```
BaFe2F7
1.0
5.586 0.000 0.000
0.000 11.131 0.000
-0.712 0.000 9.198
Ba Fe F
4 8 28
Cartesian
1.244 1.882 0.389
0.888 3.683 4.988
3.986 7.447 4.210
3.630 9.249 8.809
0.941 6.274 1.071
0.584 10.422 5.670
1.189 6.909 6.765
1.545 9.786 2.166
3.328 1.344 7.032
3.685 4.221 2.433
4.289 0.708 3.528
3.933 4.857 8.127
-0.440 5.743 6.637
-0.084 10.953 2.038
0.411 8.188 1.971
0.055 8.508 6.570
0.421 1.116 4.683
0.777 4.449 0.084
1.208 6.638 4.823
1.564 10.058 0.224
1.248 7.179 8.704
1.604 9.517 4.105
1.719 2.396 7.214
2.075 3.169 2.615
2.592 0.321 2.322
2.235 5.245 6.921
2.638 5.886 2.277
2.282 10.810 6.876
2.799 7.961 6.583
3.155 8.735 1.984
3.269 1.614 5.093
3.626 3.951 0.494
3.310 1.073 8.974
3.666 4.492 4.375
4.097 6.681 9.114
4.453 10.015 4.515
4.818 2.622 2.628
4.462 2.943 7.227
4.958 0.177 7.160
5.314 5.388 2.561
```

***

# 5
Ba7MnFe6F34: computed XRD peak list (λ = 1.5418 Å (Cu Kα)), based on a crystal structure in the Materials Project, relaxed with PBE+U.

The 8 most intense peaks (5° ≤ 2θ ≤ 70°), low angle first:
| 2θ (°) | d (Å) | I (rel.) |
| --- | --- | --- |
| 10.4 | 8.472 | 23 |
| 22.8 | 3.906 | 49 |
| 23.9 | 3.716 | 40 |
| 26.1 | 3.420 | 95 |
| 26.7 | 3.343 | 33 |
| 27.9 | 3.197 | 100 |
| 38.8 | 2.319 | 30 |
| 41.8 | 2.162 | 29 |

```
Ba7MnFe6F34
1.0
8.668 -5.796 0.000
8.668 5.796 0.000
-1.656 0.000 7.670
Ba Mn Fe F
7 1 6 34
Cartesian
0.000 0.000 0.000
5.032 2.290 5.397
4.341 0.000 0.959
10.647 2.290 2.272
5.032 -2.290 5.397
11.338 0.000 6.711
10.647 -2.290 2.272
7.839 0.000 3.835
6.436 2.974 1.539
2.085 0.000 4.142
9.243 2.974 6.130
6.436 -2.974 1.539
13.594 0.000 3.528
9.243 -2.974 6.130
0.658 1.518 7.623
6.167 4.383 2.941
4.512 2.755 1.506
1.373 0.000 2.346
3.331 1.366 3.489
8.327 3.356 1.556
7.351 3.356 6.114
9.512 4.383 4.729
6.515 1.524 0.255
3.100 0.000 5.828
0.658 -1.518 7.623
6.536 1.607 2.985
3.331 -1.366 3.489
6.346 0.000 5.263
9.143 1.607 4.685
11.166 2.755 6.164
9.164 1.524 7.415
6.515 -1.524 0.255
4.512 -2.755 1.506
6.536 -1.607 2.985
9.333 0.000 2.407
12.348 1.366 4.181
9.143 -1.607 4.685
15.021 1.518 0.047
12.579 0.000 1.842
9.164 -1.524 7.415
6.167 -4.383 2.941
8.327 -3.356 1.556
7.351 -3.356 6.114
12.348 -1.366 4.181
14.306 0.000 5.323
11.166 -2.755 6.164
9.512 -4.383 4.729
15.021 -1.518 0.047
```

***

# 6
BaFeO2F: computed XRD peak list (λ = 1.5418 Å (Cu Kα)), based on a crystal structure in the Materials Project, relaxed with PBE+U.

The 8 most intense peaks (5° ≤ 2θ ≤ 70°), low angle first:
| 2θ (°) | d (Å) | I (rel.) |
| --- | --- | --- |
| 30.6 | 2.923 | 100 |
| 31.2 | 2.867 | 51 |
| 37.9 | 2.371 | 30 |
| 42.9 | 2.109 | 19 |
| 44.7 | 2.027 | 34 |
| 54.0 | 1.699 | 21 |
| 55.1 | 1.666 | 37 |
| 63.7 | 1.461 | 22 |

```
BaFeO2F
1.0
4.054 0.000 0.000
0.000 4.054 0.000
0.000 0.000 4.218
Ba Fe O F
1 1 2 1
Cartesian
0.000 0.000 0.000
2.027 2.027 2.109
0.000 2.027 2.109
2.027 0.000 2.109
2.027 2.027 0.000
```